Starting from a structure optimized by DFT (PBE), the PXRD pattern of P4S3 was calculated for Cu Kα (λ = 1.5418 Å).

Atomic structure:
a b c (Å): 11.408 10.468 15.282
angles (deg): 90.00 90.00 90.00
Fractional positions:
P: 0.026 0.250 0.039
P: 0.032 0.750 0.485
P: 0.051 0.642 0.766
P: 0.051 0.858 0.766
P: 0.083 0.750 0.272
P: 0.201 0.750 0.827
P: 0.226 0.642 0.343
P: 0.226 0.858 0.343
P: 0.274 0.142 0.843
P: 0.274 0.358 0.843
P: 0.299 0.250 0.327
P: 0.417 0.250 0.772
P: 0.449 0.142 0.266
P: 0.449 0.358 0.266
P: 0.468 0.250 0.985
P: 0.474 0.750 0.539
P: 0.526 0.250 0.461
P: 0.532 0.750 0.015
P: 0.551 0.642 0.734
P: 0.551 0.858 0.734
P: 0.583 0.750 0.228
P: 0.701 0.750 0.673
P: 0.726 0.642 0.157
P: 0.726 0.858 0.157
P: 0.774 0.142 0.657
P: 0.774 0.358 0.657
P: 0.799 0.250 0.173
P: 0.917 0.250 0.728
P: 0.949 0.142 0.234
P: 0.949 0.358 0.234
P: 0.968 0.250 0.515
P: 0.974 0.750 0.961
S: 0.056 0.096 0.127
S: 0.056 0.250 0.637
S: 0.056 0.404 0.127
S: 0.149 0.596 0.463
S: 0.149 0.904 0.463
S: 0.160 0.750 0.961
S: 0.340 0.250 0.461
S: 0.351 0.096 0.963
S: 0.351 0.404 0.963
S: 0.444 0.596 0.627
S: 0.444 0.750 0.137
S: 0.444 0.904 0.627
S: 0.556 0.096 0.373
S: 0.556 0.250 0.863
S: 0.556 0.404 0.373
S: 0.649 0.596 0.037
S: 0.649 0.904 0.037
S: 0.660 0.750 0.539
S: 0.840 0.250 0.039
S: 0.851 0.096 0.537
S: 0.851 0.404 0.537
S: 0.944 0.596 0.873
S: 0.944 0.750 0.363
S: 0.944 0.904 0.873

Top 10 peaks for 15 to 90 degrees two-theta, sorted by position:
Position (°2θ)	Rel. int.	index
15.53	10	2 0 0
16.33	100	1 1 2
16.94	35	0 2 0
17.71	27	2 1 0
26.18	15	3 0 2
27.36	19	1 3 1
29.40	17	2 1 4
30.60	20	2 3 1
40.40	9	4 1 4
42.35	10	3 4 1